Entry 1:
This entry pairs a crystal structure of ScB4Ru4 with its simulated X-ray powder pattern. Radiation: Cu Kα (λ = 1.5418 Å). Structure: the PBE geometry in Alexandria.
Intensities are scaled so that the largest is 100.

Crystal structure
Unit cell a=9.1355 b=9.1355 c=9.1355 alpha=132.25 beta=132.25 gamma=69.83
Element x y z (fractional)
Sc  0.1250  0.3750  0.7500
Sc  0.3750  0.1250  0.2500
Sc  0.6250  0.8750  0.7500
Sc  0.8750  0.6250  0.2500
B  0.0709  0.1260  0.2843
B  0.1260  0.3417  0.0551
B  0.1583  0.3740  0.4449
B  0.2134  0.9291  0.5551
B  0.2866  0.8417  0.7157
B  0.3417  0.7866  0.2157
B  0.3740  0.4291  0.2157
B  0.4291  0.7134  0.0551
B  0.5709  0.2866  0.9449
B  0.6260  0.5709  0.7843
B  0.6583  0.2134  0.7843
B  0.7134  0.1583  0.2843
B  0.7866  0.0709  0.4449
B  0.8417  0.6260  0.5551
B  0.8740  0.6583  0.9449
B  0.9291  0.8740  0.7157
Ru  0.0326  0.8222  0.9815
Ru  0.0511  0.0326  0.7104
Ru  0.1593  0.6778  0.7104
Ru  0.1778  0.6593  0.2104
Ru  0.3222  0.5326  0.4815
Ru  0.3407  0.0511  0.5185
Ru  0.4489  0.1593  0.9815
Ru  0.4674  0.4489  0.7896
Ru  0.5326  0.5511  0.2104
Ru  0.5511  0.8407  0.0185
Ru  0.6593  0.9489  0.4815
Ru  0.6778  0.4674  0.5185
Ru  0.8222  0.3407  0.7896
Ru  0.8407  0.3222  0.2896
Ru  0.9489  0.9674  0.2896
Ru  0.9674  0.1778  0.0185

Top 8 peaks for 10° ≤ 2θ ≤ 90°, low angle first:
d [Å]	Rel. int.
4.288	34
2.757	100
2.253	25
2.232	67
2.221	61
2.032	21
1.849	24
1.316	23



Entry 2:
This entry pairs a crystal structure of Ti4MnS8 with its simulated X-ray powder pattern. Radiation: Cu Kα (λ = 1.5418 Å). Structure: the PBE geometry in Alexandria.
Intensities are scaled so that the largest is 100.

Crystal structure
Unit cell a=3.4283 b=3.4283 c=24.5606 alpha=90.00 beta=90.00 gamma=120.00
Element x y z (fractional)
Ti  0.0000  0.0000  0.1230
Ti  0.0000  0.0000  0.3743
Ti  0.0000  0.0000  0.6257
Ti  0.0000  0.0000  0.8770
Mn  0.0000  0.0000  0.0000
S  0.3333  0.6667  0.0599
S  0.3333  0.6667  0.3165
S  0.3333  0.6667  0.5682
S  0.3333  0.6667  0.8210
S  0.6667  0.3333  0.1790
S  0.6667  0.3333  0.4318
S  0.6667  0.3333  0.6835
S  0.6667  0.3333  0.9401

Top 8 peaks for 10° ≤ 2θ ≤ 90°, low angle first:
d [Å]	Rel. int.
8.187	18
6.140	55
2.673	96
2.134	100
1.714	43
1.685	22
1.336	19
1.144	18



Entry 3:
This entry pairs a crystal structure of LaSbTe2N with its simulated X-ray powder pattern. Radiation: Cu Kα (λ = 1.5418 Å). Structure: the PBE geometry in Alexandria.
Intensities are scaled so that the largest is 100.

Crystal structure
Unit cell a=4.9288 b=4.9288 c=4.8904 alpha=90.00 beta=90.00 gamma=90.00
Element x y z (fractional)
La  0.0000  0.0000  0.0000
Sb  0.5000  0.5000  0.0000
Te  0.0000  0.5000  0.5000
Te  0.5000  0.0000  0.5000
N  0.5000  0.5000  0.5000

Top 8 peaks for 10° ≤ 2θ ≤ 90°, low angle first:
d [Å]	Rel. int.
2.838	100
2.464	38
2.445	18
1.743	13
1.736	26
1.485	28
1.477	14
1.419	13



Entry 4:
This entry pairs a crystal structure of Th4Ge2TeAs with its simulated X-ray powder pattern. Radiation: Cu Kα (λ = 1.5418 Å). Structure: the PBE geometry in Alexandria.
Intensities are scaled so that the largest is 100.

Crystal structure
Unit cell a=7.5174 b=4.3257 c=7.5367 alpha=90.00 beta=109.27 gamma=90.00
Element x y z (fractional)
Th  0.2294  0.0000  0.2315
Th  0.2386  0.5000  0.7575
Th  0.7614  0.5000  0.2425
Th  0.7706  0.0000  0.7685
Ge  0.0000  0.0000  0.5000
Ge  0.0000  0.5000  0.0000
Te  0.5000  0.5000  0.5000
As  0.5000  0.0000  0.0000

Top 8 peaks for 10° ≤ 2θ ≤ 90°, low angle first:
d [Å]	Rel. int.
3.553	17
3.536	18
3.069	100
2.178	12
2.170	50
2.163	13
1.768	14
1.535	12



Entry 5:
This entry pairs a crystal structure of Sm15Y4Tl with its simulated X-ray powder pattern. Radiation: Cu Kα (λ = 1.5418 Å). Structure: the PBE geometry in Alexandria.
Intensities are scaled so that the largest is 100.

Crystal structure
Unit cell a=5.0603 b=5.0603 c=25.6244 alpha=90.00 beta=90.00 gamma=90.00
Element x y z (fractional)
Sm  0.0000  0.0000  0.0000
Sm  0.0000  0.0000  0.1965
Sm  0.0000  0.0000  0.3987
Sm  0.0000  0.0000  0.6013
Sm  0.0000  0.0000  0.8035
Sm  0.0000  0.5000  0.0968
Sm  0.0000  0.5000  0.2984
Sm  0.0000  0.5000  0.5000
Sm  0.0000  0.5000  0.7016
Sm  0.0000  0.5000  0.9032
Sm  0.5000  0.0000  0.0968
Sm  0.5000  0.0000  0.2984
Sm  0.5000  0.0000  0.5000
Sm  0.5000  0.0000  0.7016
Sm  0.5000  0.0000  0.9032
Y  0.5000  0.5000  0.1979
Y  0.5000  0.5000  0.3994
Y  0.5000  0.5000  0.6006
Y  0.5000  0.5000  0.8021
Tl  0.5000  0.5000  0.0000

Top 8 peaks for 10° ≤ 2θ ≤ 90°, low angle first:
d [Å]	Rel. int.
2.934	100
2.562	17
2.530	33
1.800	24
1.789	12
1.542	14
1.527	28
1.467	12



Entry 6:
This entry pairs a crystal structure of Ca2Ac5LaPm with its simulated X-ray powder pattern. Radiation: Cu Kα (λ = 1.5418 Å). Structure: the PBE geometry in Alexandria.
Intensities are scaled so that the largest is 100.

Crystal structure
Unit cell a=11.0860 b=11.0860 c=11.0860 alpha=130.70 beta=130.70 gamma=72.30
Element x y z (fractional)
Ca  0.1175  0.6175  0.7350
Ca  0.3825  0.1175  0.5000
Ca  0.6175  0.8825  0.5000
Ca  0.8825  0.3825  0.2650
Ac  0.0000  0.0000  0.0000
Ac  0.0632  0.1434  0.5000
Ac  0.1434  0.6434  0.0802
Ac  0.3566  0.4368  0.5000
Ac  0.4368  0.9368  0.0802
Ac  0.5000  0.5000  0.0000
Ac  0.5632  0.0632  0.9198
Ac  0.6434  0.5632  0.5000
Ac  0.8566  0.3566  0.9198
Ac  0.9368  0.8566  0.5000
La  0.2500  0.7500  0.5000
La  0.7500  0.2500  0.5000
Pm  0.2500  0.2500  0.0000
Pm  0.7500  0.7500  0.0000

Top 8 peaks for 10° ≤ 2θ ≤ 90°, low angle first:
d [Å]	Rel. int.
3.399	33
3.270	53
3.216	100
2.507	14
2.312	12
2.100	20
1.877	23
1.686	12



Entry 7:
This entry pairs a crystal structure of NdDyPBr with its simulated X-ray powder pattern. Radiation: Cu Kα (λ = 1.5418 Å). Structure: the PBE geometry in Alexandria.
Intensities are scaled so that the largest is 100.

Crystal structure
Unit cell a=7.6772 b=7.6772 c=7.6772 alpha=30.56 beta=30.56 gamma=30.56
Element x y z (fractional)
Nd  0.0000  0.0000  0.0000
Dy  0.1983  0.1983  0.1983
P  0.5933  0.5933  0.5933
Br  0.7701  0.7701  0.7701

Top 8 peaks for 10° ≤ 2θ ≤ 90°, low angle first:
d [Å]	Rel. int.
3.461	42
2.953	52
2.738	100
2.023	47
1.860	22
1.627	21
1.557	20
1.268	18



Entry 8:
This entry pairs a crystal structure of SrAl2Te4 with its simulated X-ray powder pattern. Radiation: Cu Kα (λ = 1.5418 Å). Structure: the PBE geometry in Alexandria.
Intensities are scaled so that the largest is 100.

Crystal structure
Unit cell a=6.8384 b=6.8384 c=11.9153 alpha=90.00 beta=90.00 gamma=120.59
Element x y z (fractional)
Sr  0.0000  0.0000  0.2500
Sr  0.0000  0.0000  0.7500
Al  0.2566  0.7406  0.0000
Al  0.2594  0.7434  0.5000
Al  0.7406  0.2566  0.5000
Al  0.7434  0.2594  0.0000
Te  0.0000  0.5000  0.1721
Te  0.0000  0.5000  0.8279
Te  0.1576  0.3146  0.5000
Te  0.3146  0.1576  0.0000
Te  0.5000  0.0000  0.3279
Te  0.5000  0.0000  0.6721
Te  0.6854  0.8424  0.0000
Te  0.8424  0.6854  0.5000

Top 8 peaks for 10° ≤ 2θ ≤ 90°, low angle first:
d [Å]	Rel. int.
3.388	12
3.289	100
2.974	13
2.660	18
2.639	36
1.954	28
1.937	21
1.514	12



Entry 9:
This entry pairs a crystal structure of Na2In2Au3 with its simulated X-ray powder pattern. Radiation: Cu Kα (λ = 1.5418 Å). Structure: the PBE geometry in Alexandria.
Intensities are scaled so that the largest is 100.

Crystal structure
Unit cell a=4.7388 b=4.8293 c=8.3476 alpha=73.62 beta=74.07 gamma=61.33
Element x y z (fractional)
Na  0.1316  0.1391  0.1036
Na  0.8684  0.8609  0.8964
In  0.3897  0.3920  0.3328
In  0.6103  0.6080  0.6672
Au  0.0000  0.0000  0.5000
Au  0.2622  0.2524  0.7101
Au  0.7378  0.7476  0.2899

Top 8 peaks for 10° ≤ 2θ ≤ 90°, low angle first:
d [Å]	Rel. int.
7.899	100
2.638	19
2.440	34
2.430	23
2.412	57
2.403	23
2.369	31
2.307	11



Entry 10:
This entry pairs a crystal structure of TmMn3P3 with its simulated X-ray powder pattern. Radiation: Cu Kα (λ = 1.5418 Å). Structure: the PBE geometry in Alexandria.
Intensities are scaled so that the largest is 100.

Crystal structure
Unit cell a=6.2059 b=6.2059 c=6.2059 alpha=90.00 beta=90.00 gamma=90.00
Element x y z (fractional)
Tm  0.0000  0.0000  0.0000
Tm  0.5000  0.5000  0.5000
Mn  0.0000  0.2500  0.5000
Mn  0.0000  0.7500  0.5000
Mn  0.2500  0.5000  0.0000
Mn  0.5000  0.0000  0.2500
Mn  0.5000  0.0000  0.7500
Mn  0.7500  0.5000  0.0000
P  0.0000  0.5000  0.2500
P  0.0000  0.5000  0.7500
P  0.2500  0.0000  0.5000
P  0.5000  0.2500  0.0000
P  0.5000  0.7500  0.0000
P  0.7500  0.0000  0.5000

Top 8 peaks for 10° ≤ 2θ ≤ 90°, low angle first:
d [Å]	Rel. int.
4.388	18
3.103	44
2.534	100
1.659	54
1.551	15
1.388	15
1.323	12
1.133	16



Entry 11:
This entry pairs a crystal structure of Er6NiI10 with its simulated X-ray powder pattern. Radiation: Cu Kα (λ = 1.5418 Å). Structure: the PBE geometry in Alexandria.
Intensities are scaled so that the largest is 100.

Crystal structure
Unit cell a=7.6640 b=9.6038 c=9.6269 alpha=106.72 beta=96.54 gamma=104.11
Element x y z (fractional)
Er  0.0347  0.2238  0.4183
Er  0.1128  0.5415  0.2660
Er  0.3343  0.6178  0.6589
Er  0.6657  0.3822  0.3411
Er  0.8872  0.4585  0.7340
Er  0.9653  0.7762  0.5817
Ni  0.0000  0.5000  0.5000
I  0.0868  0.8743  0.3201
I  0.2352  0.2483  0.1592
I  0.2532  0.5853  0.9612
I  0.3416  0.9464  0.7723
I  0.4556  0.3139  0.5941
I  0.5444  0.6861  0.4059
I  0.6584  0.0536  0.2277
I  0.7468  0.4147  0.0388
I  0.7648  0.7517  0.8408
I  0.9132  0.1257  0.6799

Top 8 peaks for 10° ≤ 2θ ≤ 90°, low angle first:
d [Å]	Rel. int.
8.801	50
3.168	94
3.046	100
3.039	91
2.205	56
2.184	61
2.142	31
1.786	31



Entry 12:
This entry pairs a crystal structure of Cu6TePd12 with its simulated X-ray powder pattern. Radiation: Cu Kα (λ = 1.5418 Å). Structure: the PBE geometry in Alexandria.
Intensities are scaled so that the largest is 100.

Crystal structure
Unit cell a=6.8816 b=6.8816 c=6.8816 alpha=103.12 beta=103.12 gamma=103.12
Element x y z (fractional)
Cu  0.0756  0.3285  0.3285
Cu  0.3285  0.0756  0.3285
Cu  0.3285  0.3285  0.0756
Cu  0.6715  0.6715  0.9244
Cu  0.6715  0.9244  0.6715
Cu  0.9244  0.6715  0.6715
Te  0.5000  0.5000  0.5000
Pd  0.0771  0.0771  0.6928
Pd  0.0771  0.6928  0.0771
Pd  0.2362  0.5000  0.7638
Pd  0.2362  0.7638  0.5000
Pd  0.3072  0.9229  0.9229
Pd  0.5000  0.2362  0.7638
Pd  0.5000  0.7638  0.2362
Pd  0.6928  0.0771  0.0771
Pd  0.7638  0.2362  0.5000
Pd  0.7638  0.5000  0.2362
Pd  0.9229  0.3072  0.9229
Pd  0.9229  0.9229  0.3072

Top 8 peaks for 10° ≤ 2θ ≤ 90°, low angle first:
d [Å]	Rel. int.
2.754	20
2.256	100
2.232	45
2.143	29
2.135	80
2.081	23
2.062	30
1.259	17